This entry pairs a crystal structure of TbYAg2 with its simulated powder X-ray diffraction pattern. Radiation: Cu Ka. Structure: a GGA-PBE-relaxed structure.
Kinematic intensities with the Lorentz-polarization factor, no thermal factor.

The 10 most intense peaks (2θ from 15° to 90°), sorted by position:
31.58°, intensity 100; 32.45°, intensity 25; 34.29°, intensity 25; 37.71°, intensity 70; 39.30°, intensity 68; 49.00°, intensity 17; 50.62°, intensity 14; 51.90°, intensity 20; 63.44°, intensity 29; 76.91°, intensity 17

Structural model:
```
TbYAg2
1.0
4.7661 0.0000 0.0000
0.0000 1.8592 5.5174
0.0000 -1.8592 5.5174
Tb Y Ag
1 1 2
direct
0.0000 0.0000 0.0000 Tb
0.5000 0.7150 0.7150 Y
0.0000 0.2784 0.2784 Ag
0.5000 0.4372 0.4372 Ag
```